Starting from DFT lattice parameters and positions (PBE), the X-ray powder pattern of Hf5Ti2Bi5 was computed for Cu Kα (weighted mean of Kα1 and Kα2).

The 6 most intense peaks (10° ≤ 2θ ≤ 80°), sorted by position:
d [Å]	2θ (°)	I/Imax
2.652	33.80	71
2.513	35.73	100
2.403	37.43	14
1.928	47.14	19
1.529	60.55	16
1.503	61.73	16

Structural model:
```
Hf5Ti2Bi5
1.0
7.2425 -1.9279 0.0000
7.2425 1.9279 0.0000
-5.8044 0.0000 10.0451
Hf Ti Bi
5 2 5
Cartesian
0.0000 0.0000 0.0000 Hf
-2.6786 0.0000 7.5587 Hf
-0.4999 0.0000 5.0455 Hf
9.1805 0.0000 4.9996 Hf
11.3592 0.0000 2.4864 Hf
2.1619 0.0000 7.2825 Ti
6.5187 0.0000 2.7626 Ti
1.5425 0.0000 2.6301 Bi
5.0029 0.0000 0.2637 Bi
4.3403 0.0000 5.0226 Bi
3.6776 0.0000 9.7814 Bi
7.1380 0.0000 7.4150 Bi
```